Record 1
# NiO2
Computed powder X-ray diffraction pattern, Cu Kα, 1.54184 Å. Input: a GGA+U-relaxed structure.
Intensities are scaled so that the largest is 100.

Peak list (10 most intense, 2θ = 15–90°, by intensity)
- 2θ = 16.80°, intensity 100
- 2θ = 39.61°, intensity 34
- 2θ = 50.03°, intensity 27
- 2θ = 35.60°, intensity 16
- 2θ = 64.59°, intensity 13
- 2θ = 66.63°, intensity 11
- 2θ = 63.94°, intensity 9
- 2θ = 44.18°, intensity 5
- 2θ = 33.97°, intensity 5
- 2θ = 85.31°, intensity 5

Structural model:
a b c (Å): 2.9122 2.9122 10.5553
angles (deg): 90.00 90.00 120.00
Space group P6_3/mmc (No. 194)
Symmetry-distinct sites (fractional):
Ni 0.0000 0.0000 0.0000 [2 per cell]
O 0.3333 0.6667 0.0891 [4 per cell]

---

Record 2
# Ni3P2O8
Computed powder X-ray diffraction pattern, Cu Kα, 1.54184 Å. Input: a GGA+U-relaxed structure.
Intensities are scaled so that the largest is 100.

Peak list (10 most intense, 2θ = 15–90°, by intensity)
- 2θ = 25.72°, intensity 100
- 2θ = 35.66°, intensity 72
- 2θ = 32.34°, intensity 40
- 2θ = 23.22°, intensity 40
- 2θ = 36.87°, intensity 30
- 2θ = 15.05°, intensity 29
- 2θ = 52.50°, intensity 24
- 2θ = 52.86°, intensity 23
- 2θ = 37.11°, intensity 22
- 2θ = 30.36°, intensity 22

Structural model:
a b c (Å): 5.8889 4.7458 10.2279
angles (deg): 90.00 90.91 90.00
Space group P2_1/c (No. 14)
Symmetry-distinct sites (fractional):
Ni 0.0000 0.0000 0.0000 [2 per cell]
Ni 0.2580 0.0133 0.7256 [4 per cell]
P 0.2483 0.5778 0.9049 [4 per cell]
O 0.0340 0.7354 0.8382 [4 per cell]
O 0.2316 0.2452 0.3979 [4 per cell]
O 0.2435 0.6915 0.0473 [4 per cell]
O 0.4478 0.6991 0.8263 [4 per cell]

---

Record 3
# Ni7P6O24
Computed powder X-ray diffraction pattern, Cu Kα, 1.54184 Å. Input: a GGA+U-relaxed structure.
Intensities are scaled so that the largest is 100.

Peak list (10 most intense, 2θ = 15–90°, by intensity)
- 2θ = 33.18°, intensity 100
- 2θ = 23.66°, intensity 49
- 2θ = 56.00°, intensity 21
- 2θ = 42.00°, intensity 18
- 2θ = 39.25°, intensity 15
- 2θ = 37.91°, intensity 14
- 2θ = 41.69°, intensity 13
- 2θ = 52.68°, intensity 10
- 2θ = 31.04°, intensity 10
- 2θ = 54.78°, intensity 9

Structural model:
a b c (Å): 10.2670 14.2402 6.5710
angles (deg): 90.00 106.48 90.00
Space group Cm (No. 8)
Symmetry-distinct sites (fractional):
Ni 0.0000 0.0000 0.0000 [2 per cell]
Ni 0.0000 0.3246 0.0000 [4 per cell]
Ni 0.1750 0.1813 0.8066 [4 per cell]
Ni 0.3250 0.3187 0.1934 [4 per cell]
P 0.0909 0.1851 0.2950 [4 per cell]
P 0.1679 0.5000 0.9250 [2 per cell]
P 0.3321 0.0000 0.0750 [2 per cell]
P 0.4091 0.3149 0.7050 [4 per cell]
O 0.0049 0.2663 0.7114 [4 per cell]
O 0.0062 0.1025 0.7892 [4 per cell]
O 0.0540 0.5000 0.7364 [2 per cell]
O 0.1591 0.4099 0.0587 [4 per cell]
O 0.1659 0.2183 0.1275 [4 per cell]
O 0.1865 0.1636 0.5094 [4 per cell]
O 0.1992 0.0000 0.1355 [2 per cell]
O 0.3008 0.5000 0.8645 [2 per cell]
O 0.3135 0.3364 0.4906 [4 per cell]
O 0.3234 0.2846 0.8660 [4 per cell]
O 0.3316 0.0904 0.9304 [4 per cell]
O 0.4460 0.0000 0.2636 [2 per cell]
O 0.4830 0.2335 0.2817 [4 per cell]
O 0.4938 0.3975 0.2108 [4 per cell]

---

Record 4
# Ni4P2O9
Computed powder X-ray diffraction pattern, Cu Kα, 1.54184 Å. Input: a GGA+U-relaxed structure.
Intensities are scaled so that the largest is 100.

Peak list (10 most intense, 2θ = 15–90°, by intensity)
- 2θ = 24.62°, intensity 100
- 2θ = 30.16°, intensity 91
- 2θ = 30.37°, intensity 83
- 2θ = 42.28°, intensity 57
- 2θ = 33.85°, intensity 57
- 2θ = 18.67°, intensity 56
- 2θ = 33.57°, intensity 50
- 2θ = 48.91°, intensity 45
- 2θ = 58.01°, intensity 44
- 2θ = 34.31°, intensity 38

Structural model:
a b c (Å): 6.3609 7.6510 8.0526
angles (deg): 98.14 112.31 101.74
Space group P-1 (No. 2)
Symmetry-distinct sites (fractional):
Ni 0.0777 0.3810 0.2330 [2 per cell]
Ni 0.1696 0.8992 0.5938 [2 per cell]
Ni 0.3621 0.8295 0.0628 [2 per cell]
Ni 0.3972 0.6106 0.7626 [2 per cell]
P 0.1186 0.2411 0.8536 [2 per cell]
P 0.4819 0.2799 0.5747 [2 per cell]
O 0.0094 0.0897 0.6726 [2 per cell]
O 0.0307 0.7806 0.0325 [2 per cell]
O 0.1442 0.4358 0.8154 [2 per cell]
O 0.2228 0.7832 0.8008 [2 per cell]
O 0.2306 0.2875 0.4581 [2 per cell]
O 0.3658 0.2229 0.9790 [2 per cell]
O 0.3685 0.7244 0.5380 [2 per cell]
O 0.3890 0.5416 0.2620 [2 per cell]
O 0.4734 0.1141 0.6673 [2 per cell]

---

Record 5
# Ni3P2O8
Computed powder X-ray diffraction pattern, Cu Kα, 1.54184 Å. Input: a GGA+U-relaxed structure.
Intensities are scaled so that the largest is 100.

Peak list (10 most intense, 2θ = 15–90°, by intensity)
- 2θ = 26.20°, intensity 100
- 2θ = 31.99°, intensity 95
- 2θ = 33.30°, intensity 62
- 2θ = 29.73°, intensity 53
- 2θ = 30.82°, intensity 45
- 2θ = 31.09°, intensity 29
- 2θ = 32.21°, intensity 23
- 2θ = 38.56°, intensity 21
- 2θ = 38.01°, intensity 20
- 2θ = 47.33°, intensity 20

Structural model:
a b c (Å): 8.7009 11.1156 6.1064
angles (deg): 90.00 99.97 90.00
Space group P2_1/c (No. 14)
Symmetry-distinct sites (fractional):
Ni 0.0758 0.1136 0.1224 [4 per cell]
Ni 0.2746 0.0825 0.6657 [4 per cell]
Ni 0.3637 0.6943 0.6169 [4 per cell]
P 0.0926 0.6353 0.8892 [4 per cell]
P 0.3961 0.0863 0.1939 [4 per cell]
O 0.0605 0.2060 0.6035 [4 per cell]
O 0.0730 0.5649 0.6648 [4 per cell]
O 0.1339 0.5594 0.1000 [4 per cell]
O 0.2304 0.7218 0.8706 [4 per cell]
O 0.2701 0.0838 0.9801 [4 per cell]
O 0.2950 0.1255 0.3664 [4 per cell]
O 0.4755 0.5386 0.7436 [4 per cell]
O 0.4811 0.6830 0.3308 [4 per cell]

---

Record 6
# NiP3O9
Computed powder X-ray diffraction pattern, Cu Kα, 1.54184 Å. Input: a GGA+U-relaxed structure.
Intensities are scaled so that the largest is 100.

Peak list (10 most intense, 2θ = 15–90°, by intensity)
- 2θ = 18.62°, intensity 100
- 2θ = 23.61°, intensity 50
- 2θ = 24.55°, intensity 40
- 2θ = 20.15°, intensity 37
- 2θ = 32.21°, intensity 27
- 2θ = 30.24°, intensity 27
- 2θ = 28.76°, intensity 23
- 2θ = 32.71°, intensity 21
- 2θ = 30.67°, intensity 19
- 2θ = 41.18°, intensity 17

Structural model:
a b c (Å): 6.3812 10.6584 9.6774
angles (deg): 90.00 90.00 90.00
Space group Pccn (No. 56)
Symmetry-distinct sites (fractional):
Ni 0.0000 0.0000 0.0000 [4 per cell]
P 0.1349 0.1327 0.2848 [8 per cell]
P 0.2500 0.7500 0.0806 [4 per cell]
O 0.0938 0.6895 0.1891 [8 per cell]
O 0.1164 0.0269 0.1820 [8 per cell]
O 0.1488 0.6550 0.4872 [8 per cell]
O 0.2370 0.0963 0.4176 [8 per cell]
O 0.2500 0.2500 0.2107 [4 per cell]